Simulated XRD peak list of FeH8C4S4N6 for λ = 1.5418 Å (Cu Kα), from a crystal structure in Alexandria, relaxed with PBE.
Kinematic intensities with the Lorentz-polarization factor, no thermal factor.

Atomic structure:
Unit cell a=3.910 b=7.819 c=10.242 alpha=93.01 beta=98.05 gamma=100.77
Fractional coordinates of all 23 atoms:
Fe  0.000  0.000  0.000
H  0.371  0.494  0.705
H  0.371  0.921  0.278
H  0.392  0.525  0.875
H  0.485  0.227  0.611
H  0.515  0.773  0.389
H  0.608  0.475  0.125
H  0.629  0.079  0.722
H  0.629  0.506  0.295
C  0.070  0.182  0.288
C  0.495  0.708  0.189
C  0.505  0.292  0.811
C  0.930  0.818  0.712
S  0.045  0.298  0.420
S  0.425  0.777  0.031
S  0.575  0.223  0.969
S  0.955  0.702  0.580
N  0.087  0.096  0.190
N  0.405  0.445  0.795
N  0.454  0.806  0.294
N  0.546  0.194  0.706
N  0.595  0.555  0.205
N  0.913  0.904  0.810

Most intense lines, 10° ≤ 2θ ≤ 90°, in order of rising 2θ:
| h k l | 2θ/deg | intensity |
| --- | --- | --- |
| 0 1 -1 | 13.93 | 31 |
| 0 1 1 | 15.07 | 38 |
| 0 1 2 | 21.84 | 38 |
| 1 -1 1 | 26.51 | 33 |
| 1 1 -1 | 28.18 | 100 |
| 1 -2 1 | 31.52 | 45 |

Simulated XRD peak list of Er2ZnOs for λ = 1.5418 Å (Cu Kα), from a crystal structure in Alexandria, relaxed with PBE.
Kinematic intensities with the Lorentz-polarization factor, no thermal factor.

Atomic structure:
Unit cell a=6.878 b=6.878 c=6.878 alpha=90.00 beta=90.00 gamma=90.00
Fractional coordinates of all 16 atoms:
Er  0.250  0.250  0.250
Er  0.250  0.250  0.750
Er  0.250  0.750  0.250
Er  0.250  0.750  0.750
Er  0.750  0.250  0.250
Er  0.750  0.250  0.750
Er  0.750  0.750  0.250
Er  0.750  0.750  0.750
Zn  0.000  0.000  0.000
Zn  0.000  0.500  0.500
Zn  0.500  0.000  0.500
Zn  0.500  0.500  0.000
Os  0.000  0.000  0.500
Os  0.000  0.500  0.000
Os  0.500  0.000  0.000
Os  0.500  0.500  0.500

Most intense lines, 10° ≤ 2θ ≤ 90°, in order of rising 2θ:
| h k l | 2θ/deg | intensity |
| --- | --- | --- |
| 1 1 1 | 22.39 | 9 |
| 2 2 0 | 36.97 | 100 |
| 3 1 1 | 43.65 | 5 |
| 4 0 0 | 53.28 | 18 |
| 4 2 2 | 66.61 | 36 |
| 4 4 0 | 78.70 | 11 |

Simulated XRD peak list of Ca2YTcO6 for λ = 1.5418 Å (Cu Kα), from a crystal structure in Alexandria, relaxed with PBE.
Kinematic intensities with the Lorentz-polarization factor, no thermal factor.

Atomic structure:
Unit cell a=5.603 b=5.833 c=9.786 alpha=90.00 beta=124.47 gamma=90.00
Fractional coordinates of all 20 atoms:
Ca  0.235  0.056  0.252
Ca  0.235  0.444  0.752
Ca  0.765  0.556  0.248
Ca  0.765  0.944  0.748
Y  0.500  0.000  0.000
Y  0.500  0.500  0.500
Tc  0.000  0.000  0.500
Tc  0.000  0.500  0.000
O  0.115  0.216  0.937
O  0.115  0.284  0.437
O  0.231  0.685  0.945
O  0.231  0.815  0.445
O  0.343  0.045  0.732
O  0.343  0.455  0.232
O  0.657  0.545  0.768
O  0.657  0.955  0.268
O  0.769  0.185  0.555
O  0.769  0.315  0.055
O  0.885  0.716  0.563
O  0.885  0.784  0.063

Most intense lines, 10° ≤ 2θ ≤ 90°, in order of rising 2θ:
| h k l | 2θ/deg | intensity |
| --- | --- | --- |
| 1 1 -1 | 22.01 | 100 |
| 0 2 0 | 30.65 | 46 |
| 1 1 1 | 31.24 | 96 |
| 1 1 -3 | 31.43 | 95 |
| 2 0 -2 | 31.95 | 41 |
| 0 0 4 | 44.89 | 79 |

Simulated XRD peak list of BaPaPdS4 for λ = 1.5418 Å (Cu Kα), from a crystal structure in Alexandria, relaxed with PBE.
Kinematic intensities with the Lorentz-polarization factor, no thermal factor.

Atomic structure:
Unit cell a=6.680 b=5.902 c=8.706 alpha=90.00 beta=108.42 gamma=90.00
Fractional coordinates of all 14 atoms:
Ba  0.250  0.250  0.054
Ba  0.750  0.750  0.946
Pa  0.260  0.250  0.558
Pa  0.740  0.750  0.442
Pd  0.226  0.750  0.325
Pd  0.774  0.250  0.675
S  0.039  0.524  0.709
S  0.039  0.976  0.709
S  0.447  0.750  0.150
S  0.452  0.750  0.597
S  0.548  0.250  0.403
S  0.553  0.250  0.850
S  0.961  0.024  0.291
S  0.961  0.476  0.291

Most intense lines, 10° ≤ 2θ ≤ 90°, in order of rising 2θ:
| h k l | 2θ/deg | intensity |
| --- | --- | --- |
| 0 0 1 | 10.71 | 100 |
| 1 1 0 | 20.56 | 90 |
| 1 1 -2 | 26.45 | 76 |
| 0 2 0 | 30.29 | 78 |
| 1 1 2 | 33.08 | 88 |
| 2 1 -2 | 33.36 | 79 |

Repeat the first record exactly.
Simulated XRD peak list of FeH8C4S4N6 for λ = 1.5418 Å (Cu Kα), from a crystal structure in Alexandria, relaxed with PBE.
Kinematic intensities with the Lorentz-polarization factor, no thermal factor.

Atomic structure:
Unit cell a=3.910 b=7.819 c=10.242 alpha=93.01 beta=98.05 gamma=100.77
Fractional coordinates of all 23 atoms:
Fe  0.000  0.000  0.000
H  0.371  0.494  0.705
H  0.371  0.921  0.278
H  0.392  0.525  0.875
H  0.485  0.227  0.611
H  0.515  0.773  0.389
H  0.608  0.475  0.125
H  0.629  0.079  0.722
H  0.629  0.506  0.295
C  0.070  0.182  0.288
C  0.495  0.708  0.189
C  0.505  0.292  0.811
C  0.930  0.818  0.712
S  0.045  0.298  0.420
S  0.425  0.777  0.031
S  0.575  0.223  0.969
S  0.955  0.702  0.580
N  0.087  0.096  0.190
N  0.405  0.445  0.795
N  0.454  0.806  0.294
N  0.546  0.194  0.706
N  0.595  0.555  0.205
N  0.913  0.904  0.810

Most intense lines, 10° ≤ 2θ ≤ 90°, in order of rising 2θ:
| h k l | 2θ/deg | intensity |
| --- | --- | --- |
| 0 1 -1 | 13.93 | 31 |
| 0 1 1 | 15.07 | 38 |
| 0 1 2 | 21.84 | 38 |
| 1 -1 1 | 26.51 | 33 |
| 1 1 -1 | 28.18 | 100 |
| 1 -2 1 | 31.52 | 45 |